1.
Structure and theoretical X-ray powder pattern of Li10Ti2Fe3Ni3O16 (a cell relaxed with GGA+U; Cu Kα (λ = 1.5418 Å)).
Neutral-atom scattering factors, no anomalous dispersion.

The 8 most intense peaks (2θ from 15° to 90°), most intense first:
2θ = 18.13°, d = 4.892 Å, I 100; 2θ = 19.40°, d = 4.575 Å, I 96; 2θ = 35.90°, d = 2.501 Å, I 80; 2θ = 44.75°, d = 2.025 Å, I 60; 2θ = 44.66°, d = 2.029 Å, I 59; 2θ = 19.54°, d = 4.542 Å, I 54; 2θ = 32.46°, d = 2.759 Å, I 36; 2θ = 39.38°, d = 2.288 Å, I 35

Structural model:
a b c (Å): 5.9340 5.9441 9.7844
angles (deg): 89.80 89.82 60.61
Atoms (fractional coordinates):
1 Li 0.0000 0.0000 0.0000
2 Li 0.0064 0.4235 0.0031
3 Li 0.1395 0.1531 0.7907
4 Li 0.2031 0.6045 0.5115
5 Li 0.4038 0.0141 0.0093
6 Li 0.4719 0.4835 0.2926
7 Li 0.6048 0.2085 0.5111
8 Li 0.6184 0.6169 0.5123
9 Li 0.8055 0.8070 0.0714
10 Li 0.8154 0.8114 0.5768
11 Ti 0.1586 0.1233 0.5308
12 Ti 0.4843 0.4635 0.0278
13 Fe 0.1564 0.6370 0.7723
14 Fe 0.9755 0.9749 0.2732
15 Fe 0.9815 0.4655 0.2746
16 Ni 0.4705 0.9758 0.2717
17 Ni 0.6456 0.1466 0.7733
18 Ni 0.6474 0.6409 0.7742
19 O 0.1331 0.1474 0.1546
20 O 0.1500 0.6214 0.1415
21 O 0.2980 0.3016 0.3983
22 O 0.3050 0.8277 0.4096
23 O 0.3159 0.3257 0.8964
24 O 0.3172 0.7851 0.8985
25 O 0.4695 0.4830 0.6601
26 O 0.4700 0.9876 0.6388
27 O 0.6241 0.1511 0.1331
28 O 0.6375 0.6315 0.1457
29 O 0.7879 0.3225 0.9046
30 O 0.8133 0.7972 0.3822
31 O 0.8312 0.3069 0.4080
32 O 0.8353 0.8001 0.8790
33 O 0.9938 0.9754 0.6471
34 O 0.9968 0.4729 0.6485

---

2.
Structure and theoretical X-ray powder pattern of KMgNi2H3Se2O10 (a cell relaxed with GGA+U; Cu Kα (λ = 1.5418 Å)).
Neutral-atom scattering factors, no anomalous dispersion.

The 8 most intense peaks (2θ from 15° to 90°), most intense first:
2θ = 17.69°, d = 5.015 Å, I 100; 2θ = 22.49°, d = 3.953 Å, I 86; 2θ = 24.30°, d = 3.663 Å, I 72; 2θ = 23.71°, d = 3.753 Å, I 65; 2θ = 31.96°, d = 2.800 Å, I 61; 2θ = 30.71°, d = 2.911 Å, I 49; 2θ = 35.54°, d = 2.526 Å, I 43; 2θ = 43.04°, d = 2.102 Å, I 41

Structural model:
a b c (Å): 5.8269 5.8269 9.4767
angles (deg): 105.78 105.78 60.77
Atoms (fractional coordinates):
1 K 0.0000 0.0000 0.0000
2 Mg 0.4520 0.4520 0.6047
3 Ni 0.4404 0.9163 0.4314
4 Ni 0.9163 0.4404 0.4314
5 H 0.1957 0.1957 0.6668
6 H 0.6630 0.6630 0.1450
7 H 0.8453 0.8453 0.3220
8 Se 0.3959 0.3959 0.2388
9 Se 0.6402 0.6402 0.8805
10 O 0.2342 0.2342 0.5842
11 O 0.2434 0.7333 0.2626
12 O 0.2769 0.2769 0.0743
13 O 0.3117 0.3117 0.3732
14 O 0.3223 0.7599 0.7835
15 O 0.5844 0.5844 0.0421
16 O 0.6162 0.6162 0.5356
17 O 0.7333 0.2434 0.2626
18 O 0.7461 0.7461 0.3147
19 O 0.7599 0.3223 0.7835